Starting from DFT lattice parameters and positions (GGA-PBE), the X-ray diffraction stick pattern of Nb4Al3W2C3 was simulated for Cu Kα.
Peak positions follow from Bragg's law for the DFT cell and can differ from measured ones.

Peak list (8 most intense, 5 to 70 degrees two-theta, in order of rising 2θ)
2theta	d_spacing	I/Imax
13.0	6.835	39
26.1	3.418	11
33.4	2.686	22
34.0	2.636	21
38.9	2.314	100
39.6	2.278	19
52.7	1.737	15
59.6	1.551	20

Atomic structure:
```
data_Nb4Al3W2C3
_space_group_name_H-M_alt 'P 1'
_space_group_IT_number 1
_space_group_name_Hall 'P 1'
_cell_length_a 5.3716
_cell_length_b 5.3716
_cell_length_c 14.0195
_cell_angle_alpha 101.07
_cell_angle_beta 101.07
_cell_angle_gamma 60.01
loop_
_atom_site_label
_atom_site_type_symbol
_atom_site_fract_x
_atom_site_fract_y
_atom_site_fract_z
Nb1 Nb 0.0321 0.1962 0.0924
Nb2 Nb 0.1344 0.3026 0.4076
Nb3 Nb 0.1962 0.0321 0.5924
Nb4 Nb 0.3026 0.1344 0.9076
Nb5 Nb 0.6974 0.8656 0.0924
Nb6 Nb 0.8038 0.9679 0.4076
Nb7 Nb 0.8656 0.6974 0.5924
Nb8 Nb 0.9679 0.8038 0.9076
Al1 Al 0.1104 0.8896 0.2500
Al2 Al 0.2771 0.4162 0.7502
Al3 Al 0.4162 0.2771 0.2502
Al4 Al 0.5838 0.7229 0.7498
Al5 Al 0.7229 0.5838 0.2498
Al6 Al 0.8896 0.1104 0.7500
W1 W 0.3597 0.5282 0.0845
W2 W 0.4718 0.6403 0.4155
W3 W 0.5282 0.3597 0.5845
W4 W 0.6403 0.4718 0.9155
C1 C 0.0000 0.5000 0.0000
C2 C 0.1685 0.6658 0.5000
C3 C 0.3342 0.8315 0.0000
C4 C 0.5000 0.0000 0.5000
C5 C 0.6658 0.1685 0.0000
C6 C 0.8315 0.3342 0.5000
```

---

Starting from DFT lattice parameters and positions (GGA-PBE), the X-ray diffraction stick pattern of Pr4CI3Cl2 was simulated for Cu Kα.
Peak positions follow from Bragg's law for the DFT cell and can differ from measured ones.

Peak list (8 most intense, 5 to 70 degrees two-theta, in order of rising 2θ)
2theta	d_spacing	I/Imax
9.5	9.326	34
10.2	8.649	62
28.7	3.109	44
29.8	2.996	100
32.6	2.750	46
37.7	2.389	25
41.7	2.168	28
42.1	2.147	25

Atomic structure:
```
data_Pr4CI3Cl2
_space_group_name_H-M_alt 'P 1'
_space_group_IT_number 1
_space_group_name_Hall 'P 1'
_cell_length_a 9.7704
_cell_length_b 9.7704
_cell_length_c 8.8628
_cell_angle_alpha 102.33
_cell_angle_beta 102.33
_cell_angle_gamma 24.03
loop_
_atom_site_label
_atom_site_type_symbol
_atom_site_fract_x
_atom_site_fract_y
_atom_site_fract_z
Pr1 Pr 0.9997 0.9997 0.1970
Pr2 Pr 0.0003 0.0003 0.8030
Pr3 Pr 0.3631 0.3631 0.9265
Pr4 Pr 0.6369 0.6369 0.0735
C1 C 0.5000 0.5000 0.0000
I1 I 0.1722 0.1722 0.8174
I2 I 0.5000 0.5000 0.5000
I3 I 0.8278 0.8278 0.1826
Cl1 Cl 0.1529 0.1529 0.3064
Cl2 Cl 0.8471 0.8471 0.6936
```

---

Repeat the first record exactly.
Starting from DFT lattice parameters and positions (GGA-PBE), the X-ray diffraction stick pattern of Nb4Al3W2C3 was simulated for Cu Kα.
Peak positions follow from Bragg's law for the DFT cell and can differ from measured ones.

Peak list (8 most intense, 5 to 70 degrees two-theta, in order of rising 2θ)
2theta	d_spacing	I/Imax
13.0	6.835	39
26.1	3.418	11
33.4	2.686	22
34.0	2.636	21
38.9	2.314	100
39.6	2.278	19
52.7	1.737	15
59.6	1.551	20

Atomic structure:
```
data_Nb4Al3W2C3
_space_group_name_H-M_alt 'P 1'
_space_group_IT_number 1
_space_group_name_Hall 'P 1'
_cell_length_a 5.3716
_cell_length_b 5.3716
_cell_length_c 14.0195
_cell_angle_alpha 101.07
_cell_angle_beta 101.07
_cell_angle_gamma 60.01
loop_
_atom_site_label
_atom_site_type_symbol
_atom_site_fract_x
_atom_site_fract_y
_atom_site_fract_z
Nb1 Nb 0.0321 0.1962 0.0924
Nb2 Nb 0.1344 0.3026 0.4076
Nb3 Nb 0.1962 0.0321 0.5924
Nb4 Nb 0.3026 0.1344 0.9076
Nb5 Nb 0.6974 0.8656 0.0924
Nb6 Nb 0.8038 0.9679 0.4076
Nb7 Nb 0.8656 0.6974 0.5924
Nb8 Nb 0.9679 0.8038 0.9076
Al1 Al 0.1104 0.8896 0.2500
Al2 Al 0.2771 0.4162 0.7502
Al3 Al 0.4162 0.2771 0.2502
Al4 Al 0.5838 0.7229 0.7498
Al5 Al 0.7229 0.5838 0.2498
Al6 Al 0.8896 0.1104 0.7500
W1 W 0.3597 0.5282 0.0845
W2 W 0.4718 0.6403 0.4155
W3 W 0.5282 0.3597 0.5845
W4 W 0.6403 0.4718 0.9155
C1 C 0.0000 0.5000 0.0000
C2 C 0.1685 0.6658 0.5000
C3 C 0.3342 0.8315 0.0000
C4 C 0.5000 0.0000 0.5000
C5 C 0.6658 0.1685 0.0000
C6 C 0.8315 0.3342 0.5000
```